Computed XRD peak list
Compound: TiMn3O8
Radiation: CuKα
Structure: the GGA+U geometry in the Materials Project
Kinematic intensities with the Lorentz-polarization factor, no thermal factor.

Structural model:
a b c (Å): 5.8909 5.8909 14.7164
angles (deg): 90.00 90.00 120.00
Space group R-3m (No. 166, hexagonal axes)
Unique sites:
Ti  0.0000  0.0000  0.0000
Mn  0.0000  0.5000  0.0000
O  0.0000  0.0000  0.2681
O  0.0054  0.5027  0.2680

Most intense lines, 2θ from 10° to 90°, by angle:
| h k l | 2theta | I_rel |
| --- | --- | --- |
| 0 0 3 | 18.1 | 100 |
| 0 2 1 | 35.7 | 29 |
| 0 2 4 | 43.2 | 45 |
| 2 0 5 | 47.1 | 7 |
| 0 2 7 | 56.7 | 15 |
| 2 0 8 | 62.2 | 10 |
| 2 2 0 | 63.1 | 13 |
| 2 2 3 | 66.3 | 13 |
| 4 0 4 | 79.5 | 5 |
| 2 0 11 | 81.2 | 5 |

***

Computed XRD peak list
Compound: MnBi2O5
Radiation: CuKα
Structure: the GGA+U geometry in the Materials Project
Kinematic intensities with the Lorentz-polarization factor, no thermal factor.

Structural model:
a b c (Å): 7.3474 9.7183 6.5599
angles (deg): 90.00 90.00 90.00
Space group Pbam (No. 55)
Unique sites:
Mn  0.1430  0.1148  0.0000
Bi  0.0000  0.5000  0.2447
Bi  0.0433  0.8327  0.5000
O  0.0000  0.0000  0.2394
O  0.1540  0.4018  0.5000
O  0.1648  0.6774  0.2486
O  0.1694  0.4242  0.0000

Most intense lines, 2θ from 10° to 90°, by angle:
| h k l | 2theta | I_rel |
| --- | --- | --- |
| 0 0 1 | 13.5 | 35 |
| 2 0 0 | 24.2 | 63 |
| 2 0 1 | 27.8 | 24 |
| 1 3 0 | 30.2 | 88 |
| 1 1 2 | 31.3 | 100 |
| 0 2 2 | 32.9 | 37 |
| 1 3 1 | 33.2 | 26 |
| 2 2 2 | 41.3 | 62 |
| 0 4 2 | 46.5 | 49 |
| 2 4 2 | 53.1 | 23 |

***

Computed XRD peak list
Compound: K2LiFeF6
Radiation: CuKα
Structure: the GGA+U geometry in the Materials Project
Kinematic intensities with the Lorentz-polarization factor, no thermal factor.

Structural model:
a b c (Å): 8.1605 8.1605 8.1605
angles (deg): 90.00 90.00 90.00
Space group Fm-3m (No. 225)
Unique sites:
K  0.2500  0.2500  0.2500
Li  0.0000  0.0000  0.0000
Fe  0.0000  0.0000  0.5000
F  0.0000  0.0000  0.2584

Most intense lines, 2θ from 10° to 90°, by angle:
| h k l | 2theta | I_rel |
| --- | --- | --- |
| 1 1 1 | 18.8 | 74 |
| 2 2 0 | 31.0 | 98 |
| 3 1 1 | 36.5 | 30 |
| 2 2 2 | 38.2 | 56 |
| 4 0 0 | 44.4 | 100 |
| 4 2 2 | 55.1 | 34 |
| 4 4 0 | 64.6 | 53 |
| 6 2 0 | 73.4 | 15 |
| 4 4 4 | 81.8 | 16 |
| 6 4 2 | 90.0 | 18 |

***

Computed XRD peak list
Compound: Li4Mn5O9F
Radiation: CuKα
Structure: the GGA+U geometry in the Materials Project
Kinematic intensities with the Lorentz-polarization factor, no thermal factor.

Structural model:
a b c (Å): 5.1700 5.4024 7.8860
angles (deg): 105.87 103.28 102.38
Space group P1 (No. 1)
Unique sites:
Li  0.0000  0.0000  0.0000
Li  0.1838  0.3903  0.3875
Li  0.3988  0.7712  0.7758
Li  0.7816  0.5456  0.5588
Mn  0.0784  0.1757  0.6806
Mn  0.2956  0.5700  0.0886
Mn  0.4879  0.9846  0.4762
Mn  0.6764  0.3754  0.8877
Mn  0.8882  0.7686  0.2835
O  0.1506  0.7949  0.5187
O  0.2265  0.9256  0.2287
O  0.2906  0.2169  0.9245
O  0.4238  0.3790  0.6526
O  0.5656  0.6159  0.3482
O  0.6406  0.7229  0.0343
O  0.7252  0.0415  0.7356
O  0.8405  0.1784  0.4542
O  0.9522  0.3861  0.1097
F  0.0357  0.6359  0.8205

Most intense lines, 2θ from 10° to 90°, by angle:
| h k l | 2theta | I_rel |
| --- | --- | --- |
| 0 1 -1 | 17.9 | 100 |
| -1 1 2 | 33.3 | 16 |
| 1 0 2 | 35.4 | 13 |
| 2 0 -1 | 35.6 | 13 |
| 0 2 -2 | 36.3 | 9 |
| -1 2 1 | 39.8 | 28 |
| 1 -1 3 | 43.2 | 23 |
| 2 1 -2 | 43.5 | 22 |
| 0 1 4 | 60.2 | 13 |
| -3 1 3 | 60.4 | 7 |

***

Computed XRD peak list
Compound: VCrO3
Radiation: CuKα
Structure: the GGA+U geometry in the Materials Project
Kinematic intensities with the Lorentz-polarization factor, no thermal factor.

Structural model:
a b c (Å): 5.1200 5.4943 8.8761
angles (deg): 74.37 89.96 62.46
Space group P1 (No. 1)
Unique sites:
V  0.0000  0.0000  0.0000
V  0.0507  0.8931  0.3473
V  0.2498  0.5003  0.7480
V  0.8007  0.3927  0.5992
Cr  0.2989  0.4003  0.0975
Cr  0.5011  0.9944  0.4971
Cr  0.5499  0.8986  0.8503
Cr  0.7521  0.4926  0.2497
O  0.9998  0.6924  0.2002
O  0.0506  0.2012  0.1465
O  0.0537  0.1959  0.4495
O  0.0991  0.1937  0.7989
O  0.4563  0.6938  0.0501
O  0.4964  0.7013  0.7008
O  0.5009  0.6961  0.3967
O  0.5503  0.1970  0.9506
O  0.5523  0.1928  0.6466
O  0.5945  0.1992  0.2972
O  0.9509  0.6998  0.5481
O  0.9980  0.6970  0.8965

Most intense lines, 2θ from 10° to 90°, by angle:
| h k l | 2theta | I_rel |
| --- | --- | --- |
| 1 0 1 | 23.8 | 83 |
| 0 1 -2 | 32.7 | 100 |
| 1 2 1 | 32.8 | 50 |
| 1 0 -3 | 35.0 | 85 |
| 2 1 0 | 35.1 | 43 |
| 0 2 4 | 48.6 | 41 |
| 1 -1 3 | 53.2 | 60 |
| 1 3 3 | 53.3 | 59 |
| -2 1 4 | 61.3 | 26 |
| 3 2 3 | 62.8 | 41 |

***

Computed XRD peak list
Compound: Na3V5O10
Radiation: CuKα
Structure: the GGA+U geometry in the Materials Project
Kinematic intensities with the Lorentz-polarization factor, no thermal factor.

Structural model:
a b c (Å): 7.2873 8.0779 8.3443
angles (deg): 111.10 91.95 104.76
Space group P-1 (No. 2)
Unique sites:
Na  0.1523  0.0483  0.1516
Na  0.2497  0.7524  0.2514
Na  0.3463  0.4546  0.3520
V  0.0000  0.0000  0.5000
V  0.0976  0.7025  0.6033
V  0.1915  0.4021  0.7051
V  0.3022  0.0985  0.7958
V  0.3989  0.7967  0.8944
V  0.5000  0.5000  0.0000
O  0.0422  0.5283  0.3500
O  0.0478  0.1601  0.7384
O  0.1446  0.2276  0.4526
O  0.1669  0.8803  0.8549
O  0.2320  0.9257  0.5497
O  0.2714  0.5817  0.9543
O  0.3506  0.6355  0.6592
O  0.3666  0.2748  0.0533
O  0.4442  0.3378  0.7620
O  0.4514  0.9664  0.1373

Most intense lines, 2θ from 10° to 90°, by angle:
| h k l | 2theta | I_rel |
| --- | --- | --- |
| 1 0 -1 | 15.9 | 100 |
| 2 0 -2 | 32.1 | 11 |
| 1 -3 0 | 35.8 | 11 |
| 3 -2 1 | 40.2 | 30 |
| 1 3 -2 | 40.5 | 30 |
| 0 1 3 | 41.6 | 26 |
| 4 1 -1 | 56.4 | 8 |
| 1 2 -5 | 56.6 | 7 |
| 2 -5 3 | 60.3 | 8 |
| 3 -1 4 | 62.0 | 7 |

***

Computed XRD peak list
Compound: Mn2ZnO4
Radiation: CuKα
Structure: the GGA+U geometry in the Materials Project
Kinematic intensities with the Lorentz-polarization factor, no thermal factor.

Structural model:
a b c (Å): 9.1082 3.0082 10.4954
angles (deg): 90.00 90.00 90.00
Space group Pnma (No. 62)
Unique sites:
Mn  0.0655  0.2500  0.1170
Mn  0.0835  0.2500  0.6052
Zn  0.2490  0.2500  0.3492
O  0.0222  0.7500  0.7153
O  0.0981  0.2500  0.9286
O  0.1178  0.7500  0.4677
O  0.2184  0.7500  0.1806

Most intense lines, 2θ from 10° to 90°, by angle:
| h k l | 2theta | I_rel |
| --- | --- | --- |
| 3 0 2 | 34.1 | 100 |
| 1 1 2 | 35.8 | 53 |
| 1 1 3 | 40.8 | 30 |
| 3 1 1 | 43.2 | 15 |
| 3 1 3 | 50.0 | 13 |
| 4 1 0 | 50.3 | 30 |
| 4 1 1 | 51.1 | 13 |
| 0 2 0 | 61.7 | 14 |
| 4 1 4 | 62.2 | 25 |
| 3 2 2 | 72.4 | 20 |